Diffraction record for Nd3SmY8. The powder diffraction line list is calculated, not measured: it uses a DFT-relaxed cell (GGA-PBE, Alexandria) and Cu Kα.

Top 8 peaks for 2θ = 10–90°, sorted by position:
d (Å), two_theta, I (rel.)
4.051, 21.94, 376
2.899, 30.85, 389
2.851, 31.38, 1000
2.830, 31.61, 242
2.543, 35.29, 197
2.026, 44.72, 284
1.794, 50.89, 197
1.664, 55.20, 197

```
data_Nd3SmY8
_cell_length_a 6.528
_cell_length_b 11.366
_cell_length_c 11.594
_cell_angle_alpha 90.00
_cell_angle_beta 90.00
_cell_angle_gamma 90.00
_space_group_name_H-M_alt 'I m m m'
_space_group_IT_number 71
_space_group_name_Hall '-I 2 2'
loop_
_atom_site_label
_atom_site_fract_x
_atom_site_fract_y
_atom_site_fract_z
Nd1 0.000 0.000 0.000
Nd2 0.000 0.500 0.249
Sm1 0.000 0.000 0.500
Y1 0.000 0.169 0.250
Y2 0.249 0.252 0.000
```

Diffraction record for Pb4Au. The powder diffraction line list is calculated, not measured: it uses a DFT-relaxed cell (GGA-PBE, Alexandria) and Cu Kα.

Top 8 peaks for 2θ = 10–90°, sorted by position:
d (Å), two_theta, I (rel.)
2.858, 31.30, 576
2.652, 33.80, 1000
2.021, 44.85, 185
1.758, 52.03, 80
1.607, 57.32, 317
1.497, 61.99, 171
1.326, 71.09, 97
1.125, 86.48, 77

```
data_Pb4Au
_cell_length_a 9.037
_cell_length_b 9.037
_cell_length_c 3.515
_cell_angle_alpha 90.00
_cell_angle_beta 90.00
_cell_angle_gamma 90.00
_space_group_name_H-M_alt 'I 4/m'
_space_group_IT_number 87
_space_group_name_Hall '-I 4'
loop_
_atom_site_label
_atom_site_fract_x
_atom_site_fract_y
_atom_site_fract_z
Pb1 0.081 0.728 0.000
Au1 0.000 0.000 0.500
```